Diffraction record for CdIn4I6. The X-ray powder pattern is theoretical, not measured: it uses a crystal structure in the Materials Project, relaxed with GGA-PBE and copper Kα.
Neutral-atom scattering factors, no anomalous dispersion.

Most intense lines, 10 to 90 degrees two-theta, in order of rising 2θ:
(2 2 0), 27.55 deg, rel. 13; (2 1 2), 28.16 deg, rel. 100; (3 1 0), 30.88 deg, rel. 55; (0 0 4), 35.90 deg, rel. 22; (4 1 2), 44.64 deg, rel. 13; (3 1 4), 48.07 deg, rel. 24

Structure:
a b c (Å): 9.158 9.158 10.004
angles (deg): 90.00 90.00 90.00
Space group P4/mnc (No. 128)
Unique sites:
Cd: 0.000 0.000 0.000 (multiplicity 2)
In: 0.143 0.357 0.250 (multiplicity 8)
I: 0.000 0.000 0.288 (multiplicity 4)
I: 0.149 0.694 0.000 (multiplicity 8)